Calculated X-ray powder pattern
Compound: BaTmFeCuO5
Radiation: CuKα
Structure: DFT lattice parameters and positions (GGA+U)
Lines closer than 0.1° are merged.

Principal peaks in the range 10° ≤ 2θ ≤ 90°, low angle first:
2θ/deg	d [Å]	I_rel	h k l
32.15	2.784	100	1 0 2
32.76	2.734	43	1 1 0
39.90	2.259	17	1 1 2
47.01	1.933	28	2 0 0
56.92	1.618	17	1 1 4
58.09	1.588	36	2 1 2

Crystal structure
a = 3.8660 Å, b = 3.8660 Å, c = 8.0270 Å
α = 90.00°, β = 90.00°, γ = 90.00°
Space group P4mm (No. 99)
Inequivalent atoms, fractional coordinates:
Ba (0.0000, 0.0000, 0.0000) x1
Tm (0.0000, 0.0000, 0.4597) x1
Fe (0.5000, 0.5000, 0.6952) x1
Cu (0.5000, 0.5000, 0.2565) x1
O (0.0000, 0.5000, 0.2744) x2
O (0.0000, 0.5000, 0.6207) x2
O (0.5000, 0.5000, 0.9281) x1